Simulated powder diffraction line list
Compound: CuMo2As
Radiation: λ = 1.5418 Å (Cu Kα)
Structure: a DFT-relaxed cell (GGA-PBE, OQMD)
Peak positions follow from Bragg's law for the DFT cell and can differ from measured ones.

```
data_CuMo2As
_cell_length_a 6.2041
_cell_length_b 6.2041
_cell_length_c 6.2041
_cell_angle_alpha 90.00
_cell_angle_beta 90.00
_cell_angle_gamma 90.00
_space_group_name_H-M_alt 'F -4 3 m'
_space_group_IT_number 216
_space_group_name_Hall 'F -4 2 3'
loop_
_atom_site_label
_atom_site_type_symbol
_atom_site_fract_x
_atom_site_fract_y
_atom_site_fract_z
Cu1 Cu 0.0000 0.0000 0.0000
Mo1 Mo 0.0000 0.0000 0.5000
Mo2 Mo 0.2500 0.2500 0.2500
As1 As 0.2500 0.2500 0.7500
```

Principal peaks in the range 5 to 70 degrees two-theta, in order of falling intensity:
41.15 deg, I 100, (2 2 0); 59.61 deg, I 16, (4 0 0); 24.86 deg, I 3, (1 1 1); 48.68 deg, I 1, (3 1 1); 65.59 deg, I 1, (3 3 1)

***

Simulated powder diffraction line list
Compound: Sc4CuAsN2
Radiation: λ = 1.5418 Å (Cu Kα)
Structure: a DFT-relaxed cell (GGA-PBE, OQMD)
Peak positions follow from Bragg's law for the DFT cell and can differ from measured ones.

```
data_Sc4CuAsN2
_cell_length_a 3.2453
_cell_length_b 3.2453
_cell_length_c 13.2162
_cell_angle_alpha 90.00
_cell_angle_beta 90.00
_cell_angle_gamma 120.00
_space_group_name_H-M_alt 'P -6 m 2'
_space_group_IT_number 187
_space_group_name_Hall 'P -6 2'
loop_
_atom_site_label
_atom_site_type_symbol
_atom_site_fract_x
_atom_site_fract_y
_atom_site_fract_z
Sc1 Sc 0.0000 0.0000 0.1549
Sc2 Sc 0.3333 0.6667 0.3423
Cu1 Cu 0.3333 0.6667 0.0000
As1 As 0.0000 0.0000 0.5000
N1 N 0.6667 0.3333 0.2547
```

Principal peaks in the range 5 to 70 degrees two-theta, in order of falling intensity:
37.98 deg, I 100, (1 0 3); 56.73 deg, I 22, (1 1 0); 31.84 deg, I 19, (1 0 0); 52.80 deg, I 15, (1 0 6); 40.97 deg, I 14, (0 0 6); 34.68 deg, I 7, (1 0 2); 47.20 deg, I 7, (1 0 5); 13.40 deg, I 5, (0 0 2); 32.57 deg, I 3, (1 0 1); 66.54 deg, I 2, (2 0 0)

***

Simulated powder diffraction line list
Compound: NaCu2AsP
Radiation: λ = 1.5418 Å (Cu Kα)
Structure: a DFT-relaxed cell (GGA-PBE, OQMD)
Peak positions follow from Bragg's law for the DFT cell and can differ from measured ones.

```
data_NaCu2AsP
_cell_length_a 4.0556
_cell_length_b 4.0556
_cell_length_c 9.8960
_cell_angle_alpha 90.00
_cell_angle_beta 90.00
_cell_angle_gamma 90.00
_space_group_name_H-M_alt 'I 4 m m'
_space_group_IT_number 107
_space_group_name_Hall 'I 4 -2'
loop_
_atom_site_label
_atom_site_type_symbol
_atom_site_fract_x
_atom_site_fract_y
_atom_site_fract_z
Na1 Na 0.0000 0.0000 0.0000
Cu1 Cu 0.0000 0.5000 0.2426
As1 As 0.0000 0.0000 0.3861
P1 P 0.0000 0.0000 0.6227
```

Principal peaks in the range 5 to 70 degrees two-theta, in order of falling intensity:
36.20 deg, I 100, (1 1 2); 48.59 deg, I 72, (1 1 4); 44.69 deg, I 58, (2 0 0); 17.93 deg, I 48, (0 0 2); 23.71 deg, I 36, (1 0 1); 35.07 deg, I 30, (1 0 3); 65.05 deg, I 18, (2 2 0); 51.37 deg, I 15, (1 0 5); 58.03 deg, I 13, (2 1 3); 51.21 deg, I 9, (2 1 1)

***

Simulated powder diffraction line list
Compound: RbNaCuAs
Radiation: λ = 1.5418 Å (Cu Kα)
Structure: a DFT-relaxed cell (GGA-PBE, OQMD)
Peak positions follow from Bragg's law for the DFT cell and can differ from measured ones.

```
data_RbNaCuAs
_cell_length_a 6.2029
_cell_length_b 5.4590
_cell_length_c 6.5312
_cell_angle_alpha 90.00
_cell_angle_beta 103.44
_cell_angle_gamma 90.00
_space_group_name_H-M_alt 'P 1 21/m 1'
_space_group_IT_number 11
loop_
_space_group_symop_operation_xyz
'x,y,z'
'-x,-y,-z'
'-x,y+1/2,-z'
'x,-y+1/2,z'
loop_
_atom_site_label
_atom_site_type_symbol
_atom_site_fract_x
_atom_site_fract_y
_atom_site_fract_z
Rb1 Rb 0.0524 0.2500 0.1937
Na1 Na 0.3567 0.7500 0.5357
Cu1 Cu 0.5000 0.0000 0.0000
As1 As 0.3006 0.2500 0.7268
```

Principal peaks in the range 5 to 70 degrees two-theta, in order of falling intensity:
29.68 deg, I 100, (2 0 -1); 33.02 deg, I 82, (1 1 -2); 27.92 deg, I 65, (1 1 1); 21.96 deg, I 60, (1 1 0); 13.94 deg, I 50, (0 0 1); 40.19 deg, I 50, (1 2 1); 43.73 deg, I 49, (0 2 2); 34.01 deg, I 46, (2 1 -1); 24.16 deg, I 44, (1 1 -1); 17.77 deg, I 39, (1 0 -1)

***

Simulated powder diffraction line list
Compound: RbNaCuAs
Radiation: λ = 1.5418 Å (Cu Kα)
Structure: a DFT-relaxed cell (GGA-PBE, OQMD)
Peak positions follow from Bragg's law for the DFT cell and can differ from measured ones.

```
data_RbNaCuAs
_cell_length_a 5.8990
_cell_length_b 7.4850
_cell_length_c 9.8113
_cell_angle_alpha 90.00
_cell_angle_beta 90.00
_cell_angle_gamma 90.00
_space_group_name_H-M_alt 'A m a 2'
_space_group_IT_number 40
loop_
_space_group_symop_operation_xyz
'x,y,z'
'-x,-y,z'
'-x+1/2,y,z'
'x+1/2,-y,z'
'x,y+1/2,z+1/2'
'-x,-y+1/2,z+1/2'
'-x+1/2,y+1/2,z+1/2'
'x+1/2,-y+1/2,z+1/2'
loop_
_atom_site_label
_atom_site_type_symbol
_atom_site_fract_x
_atom_site_fract_y
_atom_site_fract_z
Rb1 Rb 0.2500 0.1539 0.0000
Na1 Na 0.2500 0.1563 0.3420
Cu1 Cu 0.0000 0.0000 0.6807
As1 As 0.2500 0.2423 0.6615
```

Principal peaks in the range 5 to 70 degrees two-theta, in order of falling intensity:
33.54 deg, I 100, (1 1 3); 55.89 deg, I 49, (2 3 3); 29.81 deg, I 44, (0 1 3); 18.08 deg, I 41, (0 0 2); 38.88 deg, I 41, (2 2 0); 14.89 deg, I 39, (0 1 1); 28.24 deg, I 35, (1 2 0); 33.92 deg, I 34, (2 1 1); 21.21 deg, I 31, (1 1 1); 43.19 deg, I 27, (2 2 2)

***

Simulated powder diffraction line list
Compound: Nb2CuSi2As
Radiation: λ = 1.5418 Å (Cu Kα)
Structure: a DFT-relaxed cell (GGA-PBE, OQMD)
Peak positions follow from Bragg's law for the DFT cell and can differ from measured ones.

```
data_Nb2CuSi2As
_cell_length_a 4.0060
_cell_length_b 4.0060
_cell_length_c 6.2474
_cell_angle_alpha 90.00
_cell_angle_beta 90.00
_cell_angle_gamma 90.00
_space_group_name_H-M_alt 'P 4 m m'
_space_group_IT_number 99
loop_
_space_group_symop_operation_xyz
'x,y,z'
'-y,x,z'
'-x,-y,z'
'y,-x,z'
'-x,y,z'
'y,x,z'
'x,-y,z'
'-y,-x,z'
loop_
_atom_site_label
_atom_site_type_symbol
_atom_site_fract_x
_atom_site_fract_y
_atom_site_fract_z
Nb1 Nb 0.0000 0.5000 0.0000
Cu1 Cu 0.0000 0.0000 0.3152
Si1 Si 0.0000 0.0000 0.6860
Si2 Si 0.5000 0.5000 0.2866
As1 As 0.5000 0.5000 0.6864
```

Principal peaks in the range 5 to 70 degrees two-theta, in order of falling intensity:
34.77 deg, I 100, (1 1 1); 43.11 deg, I 87, (1 1 2); 45.27 deg, I 51, (2 0 0); 14.18 deg, I 43, (0 0 1); 64.56 deg, I 31, (2 0 3); 43.46 deg, I 26, (0 0 3); 26.43 deg, I 18, (1 0 1); 65.95 deg, I 16, (2 2 0); 47.68 deg, I 8, (2 0 1); 36.48 deg, I 7, (1 0 2)

***

Simulated powder diffraction line list
Compound: TbNdCu2As4
Radiation: λ = 1.5418 Å (Cu Kα)
Structure: a DFT-relaxed cell (GGA-PBE, OQMD)
Peak positions follow from Bragg's law for the DFT cell and can differ from measured ones.

```
data_TbNdCu2As4
_cell_length_a 3.9502
_cell_length_b 3.9502
_cell_length_c 10.0145
_cell_angle_alpha 90.00
_cell_angle_beta 90.00
_cell_angle_gamma 90.00
_space_group_name_H-M_alt 'P 4 m m'
_space_group_IT_number 99
loop_
_space_group_symop_operation_xyz
'x,y,z'
'-y,x,z'
'-x,-y,z'
'y,-x,z'
'-x,y,z'
'y,x,z'
'x,-y,z'
'-y,-x,z'
loop_
_atom_site_label
_atom_site_type_symbol
_atom_site_fract_x
_atom_site_fract_y
_atom_site_fract_z
Tb1 Tb 0.0000 0.0000 0.0000
Nd1 Nd 0.5000 0.5000 0.4755
Cu1 Cu 0.0000 0.5000 0.7435
As1 As 0.0000 0.0000 0.5889
As2 As 0.0000 0.5000 0.2330
As3 As 0.5000 0.5000 0.8992
```

Principal peaks in the range 5 to 70 degrees two-theta, in order of falling intensity:
36.85 deg, I 100, (1 1 2); 45.95 deg, I 36, (2 0 0); 35.20 deg, I 29, (1 0 3); 24.22 deg, I 21, (1 0 1); 51.13 deg, I 17, (1 0 5); 28.79 deg, I 17, (1 0 2); 35.87 deg, I 14, (0 0 4); 59.17 deg, I 13, (2 1 3); 59.62 deg, I 12, (2 0 4); 67.01 deg, I 11, (2 2 0)

***

Simulated powder diffraction line list
Compound: ScCu4NiAs2
Radiation: λ = 1.5418 Å (Cu Kα)
Structure: a DFT-relaxed cell (GGA-PBE, OQMD)
Peak positions follow from Bragg's law for the DFT cell and can differ from measured ones.

```
data_ScCu4NiAs2
_cell_length_a 4.0344
_cell_length_b 4.0344
_cell_length_c 6.8040
_cell_angle_alpha 90.00
_cell_angle_beta 90.00
_cell_angle_gamma 90.00
_space_group_name_H-M_alt 'P 4/m m m'
_space_group_IT_number 123
_space_group_name_Hall '-P 4 2'
loop_
_atom_site_label
_atom_site_type_symbol
_atom_site_fract_x
_atom_site_fract_y
_atom_site_fract_z
Sc1 Sc 0.0000 0.0000 0.0000
Cu1 Cu 0.0000 0.5000 0.2804
Ni1 Ni 0.5000 0.5000 0.5000
As1 As 0.0000 0.0000 0.5000
As2 As 0.5000 0.5000 0.0000
```

Principal peaks in the range 5 to 70 degrees two-theta, in order of falling intensity:
41.30 deg, I 100, (1 1 2); 44.94 deg, I 42, (2 0 0); 65.43 deg, I 13, (2 2 0); 53.90 deg, I 9, (0 0 4); 13.01 deg, I 8, (0 0 1); 51.47 deg, I 5, (1 1 3); 25.67 deg, I 3, (1 0 1); 39.74 deg, I 2, (0 0 3); 61.52 deg, I 2, (2 0 3); 46.98 deg, I 1, (2 0 1)

***

Simulated powder diffraction line list
Compound: PrNpCu2As4
Radiation: λ = 1.5418 Å (Cu Kα)
Structure: a DFT-relaxed cell (GGA-PBE, OQMD)
Peak positions follow from Bragg's law for the DFT cell and can differ from measured ones.

```
data_PrNpCu2As4
_cell_length_a 3.9656
_cell_length_b 3.9656
_cell_length_c 9.9129
_cell_angle_alpha 90.00
_cell_angle_beta 90.00
_cell_angle_gamma 90.00
_space_group_name_H-M_alt 'P 4 m m'
_space_group_IT_number 99
loop_
_space_group_symop_operation_xyz
'x,y,z'
'-y,x,z'
'-x,-y,z'
'y,-x,z'
'-x,y,z'
'y,x,z'
'x,-y,z'
'-y,-x,z'
loop_
_atom_site_label
_atom_site_type_symbol
_atom_site_fract_x
_atom_site_fract_y
_atom_site_fract_z
Pr1 Pr 0.0000 0.0000 0.0000
Np1 Np 0.5000 0.5000 0.4732
Cu1 Cu 0.0000 0.5000 0.7276
As1 As 0.0000 0.0000 0.5648
As2 As 0.0000 0.5000 0.2444
As3 As 0.5000 0.5000 0.8790
```

Principal peaks in the range 5 to 70 degrees two-theta, in order of falling intensity:
36.83 deg, I 100, (1 1 2); 45.76 deg, I 36, (2 0 0); 24.17 deg, I 33, (1 0 1); 35.36 deg, I 33, (1 0 3); 51.54 deg, I 18, (1 0 5); 8.92 deg, I 17, (0 0 1); 28.83 deg, I 17, (1 0 2); 59.12 deg, I 15, (2 1 3); 36.25 deg, I 15, (0 0 4); 59.73 deg, I 14, (2 0 4)

***

Simulated powder diffraction line list
Compound: Cu2Sn2As3P
Radiation: λ = 1.5418 Å (Cu Kα)
Structure: a DFT-relaxed cell (GGA-PBE, OQMD)
Peak positions follow from Bragg's law for the DFT cell and can differ from measured ones.

```
data_Cu2Sn2As3P
_cell_length_a 12.7963
_cell_length_b 5.7482
_cell_length_c 5.7342
_cell_angle_alpha 90.00
_cell_angle_beta 115.99
_cell_angle_gamma 90.00
_space_group_name_H-M_alt 'C 1 2 1'
_space_group_IT_number 5
loop_
_space_group_symop_operation_xyz
'x,y,z'
'-x,y,-z'
'x+1/2,y+1/2,z'
'-x+1/2,y+1/2,-z'
loop_
_atom_site_label
_atom_site_type_symbol
_atom_site_fract_x
_atom_site_fract_y
_atom_site_fract_z
Cu1 Cu 0.1191 0.0000 0.3561
Sn1 Sn 0.1233 0.4828 0.8784
As1 As 0.0000 0.7803 0.5000
As2 As 0.2503 0.2361 0.7029
P1 P 0.0000 0.2005 0.0000
```

Principal peaks in the range 5 to 70 degrees two-theta, in order of falling intensity:
26.78 deg, I 100, (1 1 1); 26.98 deg, I 92, (3 1 -1); 44.61 deg, I 88, (4 2 0); 52.94 deg, I 30, (7 1 -1); 52.77 deg, I 24, (1 3 1); 44.37 deg, I 22, (2 0 2); 44.89 deg, I 22, (6 0 -2); 64.87 deg, I 14, (8 0 0); 52.64 deg, I 14, (5 1 1); 53.11 deg, I 13, (5 1 -3)

***

Simulated powder diffraction line list
Compound: Cu2AsPb
Radiation: λ = 1.5418 Å (Cu Kα)
Structure: a DFT-relaxed cell (GGA-PBE, OQMD)
Peak positions follow from Bragg's law for the DFT cell and can differ from measured ones.

```
data_Cu2AsPb
_cell_length_a 6.6335
_cell_length_b 6.6335
_cell_length_c 6.6335
_cell_angle_alpha 90.00
_cell_angle_beta 90.00
_cell_angle_gamma 90.00
_space_group_name_H-M_alt 'P m -3 m'
_space_group_IT_number 221
_space_group_name_Hall '-P 4 2 3'
loop_
_atom_site_label
_atom_site_type_symbol
_atom_site_fract_x
_atom_site_fract_y
_atom_site_fract_z
Cu1 Cu 0.2162 0.2162 0.2162
As1 As 0.0000 0.0000 0.0000
As2 As 0.0000 0.0000 0.5000
Pb1 Pb 0.0000 0.5000 0.5000
Pb2 Pb 0.5000 0.5000 0.5000
```

Principal peaks in the range 5 to 70 degrees two-theta, in order of falling intensity:
38.38 deg, I 100, (2 2 0); 69.41 deg, I 28, (4 2 2); 30.12 deg, I 20, (2 1 0); 26.88 deg, I 19, (2 0 0); 55.40 deg, I 15, (4 0 0); 62.63 deg, I 13, (4 2 0); 57.26 deg, I 8, (3 2 2); 47.48 deg, I 8, (2 2 2); 40.81 deg, I 7, (3 0 0); 23.23 deg, I 6, (1 1 1)

***

Simulated powder diffraction line list
Compound: CuAsPbS3
Radiation: λ = 1.5418 Å (Cu Kα)
Structure: a DFT-relaxed cell (GGA-PBE, OQMD)
Peak positions follow from Bragg's law for the DFT cell and can differ from measured ones.

```
data_CuAsPbS3
_cell_length_a 7.7074
_cell_length_b 8.1326
_cell_length_c 8.8339
_cell_angle_alpha 90.00
_cell_angle_beta 90.00
_cell_angle_gamma 90.00
_space_group_name_H-M_alt 'P m n 21'
_space_group_IT_number 31
loop_
_space_group_symop_operation_xyz
'x,y,z'
'-x+1/2,-y,z+1/2'
'-x,y,z'
'x+1/2,-y,z+1/2'
loop_
_atom_site_label
_atom_site_type_symbol
_atom_site_fract_x
_atom_site_fract_y
_atom_site_fract_z
Cu1 Cu 0.2400 0.2218 0.0000
As1 As 0.0000 0.0048 0.7287
As2 As 0.0000 0.5637 0.1476
Pb1 Pb 0.0000 0.0565 0.2588
Pb2 Pb 0.0000 0.4230 0.5704
S1 S 0.0000 0.2522 0.8530
S2 S 0.0000 0.7204 0.3681
S3 S 0.2238 0.0584 0.5624
S4 S 0.2279 0.3923 0.2121
```

Principal peaks in the range 5 to 70 degrees two-theta, in order of falling intensity:
32.75 deg, I 100, (2 1 2); 32.04 deg, I 60, (2 2 0); 33.61 deg, I 49, (2 2 1); 15.26 deg, I 41, (1 0 1); 22.91 deg, I 40, (0 1 2); 34.61 deg, I 32, (0 3 1); 29.87 deg, I 32, (0 2 2); 18.78 deg, I 30, (1 1 1); 23.08 deg, I 29, (2 0 0); 51.89 deg, I 28, (2 4 1)

***

Please write out number 2 again, unchanged.
Simulated powder diffraction line list
Compound: Sc4CuAsN2
Radiation: λ = 1.5418 Å (Cu Kα)
Structure: a DFT-relaxed cell (GGA-PBE, OQMD)
Peak positions follow from Bragg's law for the DFT cell and can differ from measured ones.

```
data_Sc4CuAsN2
_cell_length_a 3.2453
_cell_length_b 3.2453
_cell_length_c 13.2162
_cell_angle_alpha 90.00
_cell_angle_beta 90.00
_cell_angle_gamma 120.00
_space_group_name_H-M_alt 'P -6 m 2'
_space_group_IT_number 187
_space_group_name_Hall 'P -6 2'
loop_
_atom_site_label
_atom_site_type_symbol
_atom_site_fract_x
_atom_site_fract_y
_atom_site_fract_z
Sc1 Sc 0.0000 0.0000 0.1549
Sc2 Sc 0.3333 0.6667 0.3423
Cu1 Cu 0.3333 0.6667 0.0000
As1 As 0.0000 0.0000 0.5000
N1 N 0.6667 0.3333 0.2547
```

Principal peaks in the range 5 to 70 degrees two-theta, in order of falling intensity:
37.98 deg, I 100, (1 0 3); 56.73 deg, I 22, (1 1 0); 31.84 deg, I 19, (1 0 0); 52.80 deg, I 15, (1 0 6); 40.97 deg, I 14, (0 0 6); 34.68 deg, I 7, (1 0 2); 47.20 deg, I 7, (1 0 5); 13.40 deg, I 5, (0 0 2); 32.57 deg, I 3, (1 0 1); 66.54 deg, I 2, (2 0 0)